Record 1
Computed powder diffractogram of Zr3Zn2Pd4 for Cu Kα (weighted mean of Kα1 and Kα2), from DFT lattice parameters and positions (PBE).

Structural model:
```
Zr3Zn2Pd4
1.0
4.1307 -2.3541 0.0000
4.1307 2.3541 0.0000
-1.4613 0.0000 8.2202
Zr Zn Pd
3 2 4
Direct
0.0000 0.0000 0.0000 Zr
0.3726 0.3726 0.2632 Zr
0.6274 0.6274 0.7368 Zr
0.2736 0.2736 0.5975 Zn
0.7264 0.7264 0.4025 Zn
0.0475 0.0475 0.3377 Pd
0.3158 0.3158 0.9234 Pd
0.6842 0.6842 0.0766 Pd
0.9525 0.9525 0.6623 Pd
```

Top 10 peaks for 10° ≤ 2θ ≤ 90°, by intensity:
2θ/deg  d [Å]  I (rel.)
38.25  2.353  100
41.28  2.187  42
36.18  2.483  21
53.66  1.708  18
32.68  2.740  13
46.97  1.935  8
71.19  1.325  8
51.16  1.786  7
80.88  1.188  7
69.16  1.358  6


Record 2
Computed powder diffractogram of PuCuPbO5 for Cu Kα (weighted mean of Kα1 and Kα2), from DFT lattice parameters and positions (PBE).

Structural model:
```
PuCuPbO5
1.0
3.6591 -4.7275 0.0000
3.6591 4.7275 0.0000
-3.5126 0.0000 7.2446
Pu Cu Pb O
2 2 2 10
Direct
0.0000 0.5000 0.0000 Pu
0.5000 0.0000 0.5000 Pu
0.0402 0.9598 0.7500 Cu
0.9598 0.0402 0.2500 Cu
0.4312 0.5688 0.7500 Pb
0.5688 0.4312 0.2500 Pb
0.1244 0.7444 0.9003 O
0.2157 0.3037 0.9114 O
0.2556 0.8756 0.5997 O
0.3037 0.2157 0.4114 O
0.3166 0.6834 0.2500 O
0.6834 0.3166 0.7500 O
0.6963 0.7843 0.5886 O
0.7444 0.1244 0.4003 O
0.7843 0.6963 0.0886 O
0.8756 0.2556 0.0997 O
```

Top 10 peaks for 10° ≤ 2θ ≤ 90°, by intensity:
2θ/deg  d [Å]  I (rel.)
23.81  3.737  100
31.57  2.834  82
27.54  3.239  70
31.10  2.875  68
33.16  2.702  47
16.59  5.344  40
56.89  1.618  25
51.28  1.781  25
34.85  2.575  25
16.40  5.404  24


Record 3
Computed powder diffractogram of Sr3Cd4In7 for Cu Kα (weighted mean of Kα1 and Kα2), from DFT lattice parameters and positions (PBE).

Structural model:
```
Sr3Cd4In7
1.0
9.0159 -2.4621 0.0000
9.0159 2.4621 0.0000
-7.0808 0.0000 8.8460
Sr Cd In
3 4 7
Direct
0.0000 0.0000 0.0000 Sr
0.3041 0.3041 0.3066 Sr
0.6959 0.6959 0.6934 Sr
0.1447 0.1447 0.4183 Cd
0.3454 0.3454 0.9712 Cd
0.6546 0.6546 0.0288 Cd
0.8553 0.8553 0.5817 Cd
0.0000 0.0000 0.5000 In
0.1482 0.1482 0.8755 In
0.3427 0.3427 0.7133 In
0.4991 0.4991 0.3085 In
0.5009 0.5009 0.6915 In
0.6573 0.6573 0.2867 In
0.8518 0.8518 0.1245 In
```

Top 10 peaks for 10° ≤ 2θ ≤ 90°, by intensity:
2θ/deg  d [Å]  I (rel.)
30.69  2.913  100
36.49  2.462  44
32.47  2.757  31
37.17  2.419  27
38.37  2.346  26
29.82  2.996  21
53.99  1.699  19
32.25  2.775  15
40.30  2.238  14
62.11  1.494  13


Record 4
Computed powder diffractogram of BeRe2N for Cu Kα (weighted mean of Kα1 and Kα2), from DFT lattice parameters and positions (PBE).

Structural model:
```
BeRe2N
1.0
-2.2394 2.2394 5.4349
2.2394 -2.2394 5.4349
2.2394 2.2394 -5.4349
Be Re N
2 4 2
Direct
0.0000 0.0000 0.0000 Be
0.7500 0.2500 0.5000 Be
0.1801 0.6250 0.0551 Re
0.3750 0.4301 0.5551 Re
0.5699 0.1250 0.9449 Re
0.8750 0.8199 0.4449 Re
0.2500 0.7500 0.5000 N
0.5000 0.5000 0.0000 N
```

Top 10 peaks for 10° ≤ 2θ ≤ 90°, by intensity:
2θ/deg  d [Å]  I (rel.)
32.73  2.736  100
52.98  1.728  25
32.96  2.717  25
40.27  2.239  22
58.71  1.573  19
68.45  1.371  14
46.08  1.970  11
21.46  4.141  11
52.18  1.753  8
87.40  1.116  8


Repeat the fourth record exactly.
Computed powder diffractogram of BeRe2N for Cu Kα (weighted mean of Kα1 and Kα2), from DFT lattice parameters and positions (PBE).

Structural model:
```
BeRe2N
1.0
-2.2394 2.2394 5.4349
2.2394 -2.2394 5.4349
2.2394 2.2394 -5.4349
Be Re N
2 4 2
Direct
0.0000 0.0000 0.0000 Be
0.7500 0.2500 0.5000 Be
0.1801 0.6250 0.0551 Re
0.3750 0.4301 0.5551 Re
0.5699 0.1250 0.9449 Re
0.8750 0.8199 0.4449 Re
0.2500 0.7500 0.5000 N
0.5000 0.5000 0.0000 N
```

Top 10 peaks for 10° ≤ 2θ ≤ 90°, by intensity:
2θ/deg  d [Å]  I (rel.)
32.73  2.736  100
52.98  1.728  25
32.96  2.717  25
40.27  2.239  22
58.71  1.573  19
68.45  1.371  14
46.08  1.970  11
21.46  4.141  11
52.18  1.753  8
87.40  1.116  8